Record 1
Structure and computed X-ray powder pattern of Ta4AlH2 (the GGA-PBE geometry in Alexandria; Cu Kα (weighted mean of Kα1 and Kα2)).
Kinematic intensities with the Lorentz-polarization factor, no thermal factor.

Structure:
```
data_Ta4AlH2
_chemical_formula_sum 'Ta8 Al2 H4'
_cell_length_a 5.606
_cell_length_b 5.606
_cell_length_c 10.250
_cell_angle_alpha 90.00
_cell_angle_beta 90.00
_cell_angle_gamma 144.53
_symmetry_space_group_name_H-M 'P 1'
_symmetry_Int_Tables_number 1
loop_
_symmetry_equiv_pos_as_xyz
'x,y,z'
loop_
_atom_site_label
_atom_site_fract_x
_atom_site_fract_y
_atom_site_fract_z
Ta1 0.000 0.000 0.000
Ta2 0.000 0.000 0.500
Ta3 0.296 0.704 0.598
Ta4 0.296 0.704 0.902
Ta5 0.378 0.622 0.250
Ta6 0.622 0.378 0.750
Ta7 0.704 0.296 0.098
Ta8 0.704 0.296 0.402
Al1 0.082 0.918 0.250
Al2 0.918 0.082 0.750
H1 0.411 0.589 0.052
H2 0.411 0.589 0.448
H3 0.589 0.411 0.552
H4 0.589 0.411 0.948
```

Most intense lines, 5 to 70 degrees two-theta, sorted by position:
2θ 31.07, I = 47
2θ 32.60, I = 43
2θ 36.46, I = 86
2θ 37.53, I = 42
2θ 38.00, I = 40
2θ 38.20, I = 100
2θ 38.99, I = 41
2θ 62.83, I = 35

Record 2
Structure and computed X-ray powder pattern of Dy4GaCu (the GGA-PBE geometry in Alexandria; Cu Kα (weighted mean of Kα1 and Kα2)).
Kinematic intensities with the Lorentz-polarization factor, no thermal factor.

Structure:
```
data_Dy4GaCu
_chemical_formula_sum 'Dy8 Ga2 Cu2'
_cell_length_a 7.075
_cell_length_b 7.138
_cell_length_c 6.722
_cell_angle_alpha 90.00
_cell_angle_beta 93.71
_cell_angle_gamma 90.00
_symmetry_space_group_name_H-M 'P 1'
_symmetry_Int_Tables_number 1
loop_
_symmetry_equiv_pos_as_xyz
'x,y,z'
loop_
_atom_site_label
_atom_site_fract_x
_atom_site_fract_y
_atom_site_fract_z
Dy1 0.158 0.162 0.171
Dy2 0.158 0.338 0.671
Dy3 0.334 0.654 0.123
Dy4 0.334 0.846 0.623
Dy5 0.666 0.154 0.377
Dy6 0.666 0.346 0.877
Dy7 0.842 0.662 0.329
Dy8 0.842 0.838 0.829
Ga1 0.500 0.000 0.000
Ga2 0.500 0.500 0.500
Cu1 0.000 0.000 0.500
Cu2 0.000 0.500 0.000
```

Most intense lines, 5 to 70 degrees two-theta, sorted by position:
2θ 28.20, I = 100
2θ 28.33, I = 92
2θ 28.72, I = 33
2θ 30.23, I = 67
2θ 30.53, I = 28
2θ 31.41, I = 86
2θ 43.51, I = 43
2θ 47.53, I = 48